(1)
Diffraction record for TiSiOsPd2. The powder XRD pattern is calculated, not measured: it uses DFT lattice parameters and positions (GGA-PBE) and Cu Kα, 1.54184 Å.
Kinematic intensities with the Lorentz-polarization factor, no thermal factor.

Most intense lines, 10° ≤ 2θ ≤ 90°, in order of rising 2θ:
hkl, d/Å, I (rel.)
1 0 0, 4.864, 65
0 0 1, 4.423, 100
1 0 1, 3.272, 75
2 0 0, 2.432, 93
2 0 1, 2.131, 59
2 0 2, 1.636, 54

Cell and atoms:
```
data_TiSiOsPd2
_cell_length_a 4.864
_cell_length_b 4.864
_cell_length_c 4.423
_cell_angle_alpha 90.00
_cell_angle_beta 90.00
_cell_angle_gamma 90.00
_space_group_name_H-M_alt 'P 4/m m m'
_space_group_IT_number 123
_space_group_name_Hall '-P 4 2'
loop_
_atom_site_label
_atom_site_type_symbol
_atom_site_fract_x
_atom_site_fract_y
_atom_site_fract_z
Ti1 Ti 0.000 0.000 0.000
Si1 Si 0.500 0.500 0.000
Os1 Os 0.500 0.500 0.500
Pd1 Pd 0.000 0.500 0.500
```

(2)
Diffraction record for Tb4OsPd3. The powder XRD pattern is calculated, not measured: it uses DFT lattice parameters and positions (GGA-PBE) and Cu Kα, 1.54184 Å.
Kinematic intensities with the Lorentz-polarization factor, no thermal factor.

Most intense lines, 10° ≤ 2θ ≤ 90°, in order of rising 2θ:
hkl, d/Å, I (rel.)
1 0 4, 2.482, 100
1 1 0, 2.448, 49
2 0 0, 1.731, 17
1 1 8, 1.440, 18
2 1 4, 1.420, 35
2 0 8, 1.241, 11

Cell and atoms:
```
data_Tb4OsPd3
_cell_length_a 3.463
_cell_length_b 3.463
_cell_length_c 14.241
_cell_angle_alpha 90.00
_cell_angle_beta 90.00
_cell_angle_gamma 90.00
_space_group_name_H-M_alt 'P 4/m m m'
_space_group_IT_number 123
_space_group_name_Hall '-P 4 2'
loop_
_atom_site_label
_atom_site_type_symbol
_atom_site_fract_x
_atom_site_fract_y
_atom_site_fract_z
Tb1 Tb 0.000 0.000 0.118
Tb2 Tb 0.000 0.000 0.373
Os1 Os 0.500 0.500 0.000
Pd1 Pd 0.500 0.500 0.251
Pd2 Pd 0.500 0.500 0.500
```

(3)
Diffraction record for TeOsPd2. The powder XRD pattern is calculated, not measured: it uses DFT lattice parameters and positions (GGA-PBE) and Cu Kα, 1.54184 Å.
Kinematic intensities with the Lorentz-polarization factor, no thermal factor.

Most intense lines, 10° ≤ 2θ ≤ 90°, in order of rising 2θ:
hkl, d/Å, I (rel.)
1 1 2, 2.626, 100
0 0 8, 2.400, 38
1 1 6, 2.077, 51
2 0 4, 1.791, 62
1 1 10, 1.571, 21
2 0 12, 1.232, 18

Cell and atoms:
```
data_TeOsPd2
_cell_length_a 3.861
_cell_length_b 3.861
_cell_length_c 19.202
_cell_angle_alpha 90.00
_cell_angle_beta 90.00
_cell_angle_gamma 90.00
_space_group_name_H-M_alt 'I -4 2 d'
_space_group_IT_number 122
_space_group_name_Hall 'I -4 2bw'
loop_
_atom_site_label
_atom_site_type_symbol
_atom_site_fract_x
_atom_site_fract_y
_atom_site_fract_z
Te1 Te 0.000 0.000 0.000
Os1 Os 0.000 0.000 0.500
Pd1 Pd 0.241 0.250 0.625
```